For CaEuCo4O12, the GGA+U geometry in Alexandria gives the computed XRD peak list in this record (Cu Kα (weighted mean of Kα1 and Kα2)).
Neutral-atom scattering factors, no anomalous dispersion.

Crystal structure
Unit cell a=5.278 b=5.278 c=7.531 alpha=90.00 beta=90.00 gamma=90.00
Element x y z (fractional)
Ca 0.000 0.000 0.000
Eu 0.500 0.500 0.500
Co 0.000 0.500 0.247
Co 0.000 0.500 0.753
Co 0.500 0.000 0.247
Co 0.500 0.000 0.753
O 0.000 0.500 0.000
O 0.000 0.500 0.500
O 0.252 0.252 0.252
O 0.252 0.252 0.748
O 0.252 0.748 0.252
O 0.252 0.748 0.748
O 0.500 0.000 0.000
O 0.500 0.000 0.500
O 0.748 0.252 0.252
O 0.748 0.252 0.748
O 0.748 0.748 0.252
O 0.748 0.748 0.748

Principal peaks in the range 10° ≤ 2θ ≤ 90°, in order of rising 2θ:
| 2θ (°) | I (rel.) |
| --- | --- |
| 20.5 | 93.9 |
| 33.8 | 100.0 |
| 34.0 | 49.5 |
| 40.0 | 33.4 |
| 48.3 | 24.0 |
| 48.8 | 46.7 |
| 60.7 | 36.4 |
| 71.1 | 25.8 |

For CaCoF, the GGA+U geometry in Alexandria gives the computed XRD peak list in this record (Cu Kα (weighted mean of Kα1 and Kα2)).
Neutral-atom scattering factors, no anomalous dispersion.

Crystal structure
Unit cell a=3.309 b=3.309 c=8.459 alpha=90.00 beta=90.09 gamma=90.00
Element x y z (fractional)
Ca 0.000 0.000 0.000
Ca 0.498 0.500 0.606
Co 0.000 0.000 0.328
Co 0.500 0.500 0.277
F 0.499 0.500 0.899
F 0.998 0.000 0.706

Principal peaks in the range 10° ≤ 2θ ≤ 90°, in order of rising 2θ:
| 2θ (°) | I (rel.) |
| --- | --- |
| 10.5 | 69.7 |
| 21.0 | 16.9 |
| 31.7 | 51.5 |
| 38.5 | 100.0 |
| 42.1 | 49.2 |
| 50.7 | 49.8 |
| 55.5 | 30.6 |
| 65.4 | 21.4 |

For CaCoF, the GGA+U geometry in Alexandria gives the computed XRD peak list in this record (Cu Kα (weighted mean of Kα1 and Kα2)).
Neutral-atom scattering factors, no anomalous dispersion.

Crystal structure
Unit cell a=4.251 b=3.696 c=13.995 alpha=90.00 beta=90.00 gamma=90.00
Element x y z (fractional)
Ca 0.000 0.000 0.000
Ca 0.000 0.500 0.500
Ca 0.500 0.000 0.312
Ca 0.500 0.500 0.812
Co 0.000 0.000 0.684
Co 0.000 0.500 0.184
Co 0.500 0.000 0.621
Co 0.500 0.500 0.121
F 0.000 0.000 0.396
F 0.000 0.500 0.896
F 0.500 0.000 0.913
F 0.500 0.500 0.413

Principal peaks in the range 10° ≤ 2θ ≤ 90°, in order of rising 2θ:
| 2θ (°) | I (rel.) |
| --- | --- |
| 24.9 | 24.4 |
| 30.9 | 100.0 |
| 33.2 | 43.0 |
| 37.6 | 48.3 |
| 42.5 | 32.5 |
| 44.3 | 24.2 |
| 53.5 | 37.6 |
| 56.6 | 34.6 |